1.
Li11V6O5F19: computed X-ray powder pattern (Cu Kα), based on a cell relaxed with PBE+U.
Kinematic intensities with the Lorentz-polarization factor, no thermal factor.

Crystal structure
abc: 5.173 5.421 16.320
angles: 81.16 89.92 89.70
Fractional positions:
Li  0.000  0.000  0.000
Li  0.000  0.334  0.331
Li  0.017  0.486  0.689
Li  0.473  0.817  0.334
Li  0.476  0.491  0.002
Li  0.504  0.825  0.119
Li  0.506  0.153  0.451
Li  0.509  0.479  0.786
Li  0.974  0.339  0.118
Li  0.976  0.992  0.785
Li  0.977  0.668  0.455
V  0.006  0.146  0.559
V  0.479  0.681  0.560
V  0.485  0.353  0.229
V  0.490  0.023  0.896
V  0.985  0.795  0.228
V  0.988  0.461  0.896
O  0.169  0.526  0.194
O  0.175  0.199  0.859
O  0.178  0.871  0.526
O  0.674  0.612  0.267
O  0.679  0.281  0.936
F  0.083  0.132  0.676
F  0.125  0.694  0.347
F  0.133  0.359  0.013
F  0.317  0.024  0.198
F  0.317  0.375  0.520
F  0.318  0.695  0.864
F  0.351  0.193  0.344
F  0.351  0.862  0.012
F  0.368  0.579  0.675
F  0.625  0.790  0.444
F  0.626  0.461  0.112
F  0.639  0.133  0.784
F  0.670  0.970  0.589
F  0.811  0.116  0.262
F  0.816  0.784  0.929
F  0.818  0.477  0.582
F  0.855  0.954  0.113
F  0.861  0.278  0.445
F  0.864  0.620  0.778

The 12 most intense peaks (2θ = 10–80°), by intensity:
| Position (°2θ) | intensity |
| --- | --- |
| 16.5 | 100 |
| 25.2 | 65 |
| 25.3 | 39 |
| 37.7 | 28 |
| 48.7 | 25 |
| 25.1 | 23 |
| 34.5 | 19 |
| 33.1 | 17 |
| 39.4 | 15 |
| 39.5 | 15 |
| 48.8 | 14 |
| 62.1 | 14 |


2.
FeBO3: computed X-ray powder pattern (Cu Kα), based on a cell relaxed with PBE+U.
Kinematic intensities with the Lorentz-polarization factor, no thermal factor.

Crystal structure
abc: 4.996 4.996 5.456
angles: 91.95 91.95 120.10
Fractional positions:
Fe  0.000  0.000  0.000
Fe  0.000  0.000  0.500
B  0.333  0.667  0.750
B  0.667  0.333  0.250
O  0.174  0.826  0.750
O  0.175  0.349  0.766
O  0.349  0.175  0.266
O  0.651  0.825  0.734
O  0.825  0.651  0.234
O  0.826  0.174  0.250

The 12 most intense peaks (2θ = 10–80°), by intensity:
| Position (°2θ) | intensity |
| --- | --- |
| 20.6 | 100 |
| 40.2 | 12 |
| 39.1 | 11 |
| 36.0 | 11 |
| 38.0 | 10 |
| 56.3 | 9 |
| 52.5 | 9 |
| 54.1 | 8 |
| 48.6 | 8 |
| 55.9 | 7 |
| 50.4 | 7 |
| 27.1 | 6 |


3.
U2Co3O8: computed X-ray powder pattern (Cu Kα), based on a cell relaxed with PBE+U.
Kinematic intensities with the Lorentz-polarization factor, no thermal factor.

Crystal structure
abc: 5.159 10.399 6.143
angles: 90.00 90.00 90.00
Fractional positions:
U  0.042  0.233  0.000
U  0.458  0.733  0.500
U  0.542  0.267  0.500
U  0.958  0.767  0.000
Co  0.000  0.000  0.500
Co  0.000  0.500  0.262
Co  0.000  0.500  0.738
Co  0.500  0.000  0.238
Co  0.500  0.000  0.762
Co  0.500  0.500  0.000
O  0.182  0.597  0.000
O  0.202  0.588  0.500
O  0.206  0.849  0.267
O  0.206  0.849  0.733
O  0.294  0.349  0.233
O  0.294  0.349  0.767
O  0.298  0.088  0.000
O  0.318  0.097  0.500
O  0.682  0.903  0.500
O  0.702  0.912  0.000
O  0.706  0.651  0.233
O  0.706  0.651  0.767
O  0.794  0.151  0.267
O  0.794  0.151  0.733
O  0.798  0.412  0.500
O  0.818  0.403  0.000

The 12 most intense peaks (2θ = 10–80°), by intensity:
| Position (°2θ) | intensity |
| --- | --- |
| 28.4 | 100 |
| 22.5 | 47 |
| 33.9 | 27 |
| 49.4 | 20 |
| 17.1 | 19 |
| 34.5 | 18 |
| 51.1 | 17 |
| 56.3 | 17 |
| 49.8 | 16 |
| 41.6 | 16 |
| 29.1 | 15 |
| 60.3 | 13 |